This entry pairs a crystal structure of Rb3ScO3 with its theoretical PXRD pattern. Radiation: copper Kα. Structure: a DFT-relaxed cell (GGA-PBE, Alexandria).
Peak positions follow from Bragg's law for the DFT cell and can differ from measured ones.

Principal peaks in the range 2θ = 10–90°, by angle:
| two_theta | I (rel.) | index |
| --- | --- | --- |
| 27.05 | 27 | 1 1 -2 |
| 28.25 | 59 | 2 2 0 |
| 29.33 | 66 | 1 3 1 |
| 29.56 | 100 | 0 4 0 |
| 35.02 | 45 | 2 2 -2 |
| 36.92 | 26 | 3 1 -1 |
| 38.67 | 27 | 2 0 2 |
| 38.94 | 17 | 1 1 -3 |
| 51.58 | 24 | 4 2 0 |
| 54.69 | 31 | 0 2 4 |

Crystal structure
a = 7.556 Å, b = 12.074 Å, c = 7.123 Å
α = 90.00°, β = 101.13°, γ = 90.00°
Space group C2/m (No. 12)
One atom of each set of equivalent atoms:
1 Rb 0.000 0.202 0.000 (multiplicity 4)
2 Rb 0.000 0.262 0.500 (multiplicity 4)
3 Rb 0.135 0.500 0.853 (multiplicity 4)
4 Sc 0.169 0.000 0.648 (multiplicity 4)
5 O 0.102 0.000 0.354 (multiplicity 4)
6 O 0.207 0.366 0.234 (multiplicity 8)

This entry pairs a crystal structure of IrPt5 with its theoretical PXRD pattern. Radiation: copper Kα. Structure: a DFT-relaxed cell (GGA-PBE, Alexandria).
Peak positions follow from Bragg's law for the DFT cell and can differ from measured ones.

Principal peaks in the range 2θ = 10–90°, by angle:
| two_theta | I (rel.) | index |
| --- | --- | --- |
| 37.62 | 23 | 1 1 0 |
| 38.14 | 30 | 0 0 2 |
| 42.38 | 100 | 1 1 1 |
| 54.65 | 16 | 1 1 2 |
| 67.90 | 17 | 3 0 0 |
| 71.84 | 21 | 1 1 3 |
| 80.31 | 3 | 2 2 0 |
| 80.63 | 21 | 3 0 2 |
| 81.61 | 3 | 0 0 4 |
| 83.40 | 15 | 2 2 1 |

Crystal structure
a = 4.7819 Å, b = 4.7819 Å, c = 4.7190 Å
α = 90.00°, β = 90.00°, γ = 120.00°
Space group P-62m (No. 189)
One atom of each set of equivalent atoms:
1 Ir 0.0000 0.0000 0.0000 (multiplicity 1)
2 Pt 0.0000 0.6707 0.5000 (multiplicity 3)
3 Pt 0.3333 0.6667 0.0000 (multiplicity 2)

This entry pairs a crystal structure of FePd2 with its theoretical PXRD pattern. Radiation: copper Kα. Structure: a DFT-relaxed cell (GGA-PBE, Alexandria).
Peak positions follow from Bragg's law for the DFT cell and can differ from measured ones.

Principal peaks in the range 2θ = 10–90°, by angle:
| two_theta | I (rel.) | index |
| --- | --- | --- |
| 27.11 | 8 | 0 0 2 |
| 40.11 | 100 | 1 0 1 |
| 41.16 | 28 | 0 0 3 |
| 46.96 | 58 | 0 1 2 |
| 67.85 | 19 | 1 1 0 |
| 69.33 | 19 | 1 0 4 |
| 81.85 | 12 | 0 2 1 |
| 82.54 | 21 | 1 1 3 |
| 83.93 | 9 | 0 1 5 |
| 86.59 | 10 | 2 0 2 |

Crystal structure
a = 2.7624 Å, b = 2.7624 Å, c = 6.5793 Å
α = 90.00°, β = 90.00°, γ = 120.00°
Space group P-3m1 (No. 164)
One atom of each set of equivalent atoms:
1 Fe 0.0000 0.0000 0.0000 (multiplicity 1)
2 Pd 0.3333 0.6667 0.6809 (multiplicity 2)

This entry pairs a crystal structure of KU2Se6 with its theoretical PXRD pattern. Radiation: copper Kα. Structure: a DFT-relaxed cell (GGA-PBE, Alexandria).
Peak positions follow from Bragg's law for the DFT cell and can differ from measured ones.

Principal peaks in the range 2θ = 10–90°, by angle:
| two_theta | I (rel.) | index |
| --- | --- | --- |
| 20.06 | 63 | 0 1 3 |
| 25.14 | 22 | 1 0 3 |
| 29.98 | 100 | 1 0 5 |
| 33.33 | 24 | 0 2 2 |
| 36.81 | 34 | 1 1 6 |
| 39.64 | 34 | 1 2 1 |
| 40.77 | 17 | 0 2 6 |
| 41.37 | 45 | 1 2 3 |
| 42.92 | 31 | 1 1 8 |
| 44.86 | 22 | 2 0 0 |

Crystal structure
a = 4.041 Å, b = 5.543 Å, c = 22.067 Å
α = 90.00°, β = 90.00°, γ = 90.00°
Space group Immm (No. 71)
One atom of each set of equivalent atoms:
1 K 0.000 0.000 0.000 (multiplicity 2)
2 U 0.000 0.500 0.181 (multiplicity 4)
3 Se 0.000 0.000 0.226 (multiplicity 4)
4 Se 0.000 0.248 0.392 (multiplicity 8)

This entry pairs a crystal structure of KYZr4 with its theoretical PXRD pattern. Radiation: copper Kα. Structure: a DFT-relaxed cell (GGA-PBE, Alexandria).
Peak positions follow from Bragg's law for the DFT cell and can differ from measured ones.

Principal peaks in the range 2θ = 10–90°, by angle:
| two_theta | I (rel.) | index |
| --- | --- | --- |
| 17.47 | 26 | 1 1 1 |
| 28.71 | 18 | 2 2 0 |
| 33.80 | 100 | 3 1 1 |
| 35.35 | 52 | 2 2 2 |
| 41.05 | 10 | 4 0 0 |
| 54.19 | 34 | 3 3 3 |
| 59.45 | 29 | 4 4 0 |
| 70.17 | 10 | 5 3 3 |
| 71.10 | 19 | 6 2 2 |
| 84.64 | 20 | 7 3 1 |

Crystal structure
a = 8.795 Å, b = 8.795 Å, c = 8.795 Å
α = 90.00°, β = 90.00°, γ = 90.00°
Space group F-43m (No. 216)
One atom of each set of equivalent atoms:
1 K 0.000 0.000 0.000 (multiplicity 4)
2 Y 0.250 0.250 0.750 (multiplicity 4)
3 Zr 0.120 0.120 0.380 (multiplicity 16)

This entry pairs a crystal structure of AcSmHo2Tm with its theoretical PXRD pattern. Radiation: copper Kα. Structure: a DFT-relaxed cell (GGA-PBE, Alexandria).
Peak positions follow from Bragg's law for the DFT cell and can differ from measured ones.

Principal peaks in the range 2θ = 10–90°, by angle:
| two_theta | I (rel.) | index |
| --- | --- | --- |
| 20.18 | 21 | 0 4 0 |
| 24.77 | 22 | 1 3 1 |
| 29.58 | 100 | 2 2 0 |
| 32.16 | 56 | 1 5 1 |
| 34.55 | 29 | 2 4 0 |
| 39.64 | 42 | 2 0 2 |
| 41.03 | 21 | 0 8 0 |
| 51.93 | 30 | 3 5 1 |
| 59.93 | 23 | 2 10 0 |
| 65.80 | 21 | 4 2 2 |

Crystal structure
a = 6.436 Å, b = 17.594 Å, c = 6.427 Å
α = 90.00°, β = 90.00°, γ = 90.00°
Space group Cmcm (No. 63)
One atom of each set of equivalent atoms:
1 Ac 0.000 0.159 0.250 (multiplicity 4)
2 Sm 0.000 0.347 0.250 (multiplicity 4)
3 Ho 0.248 0.500 0.000 (multiplicity 8)
4 Tm 0.000 0.250 0.750 (multiplicity 4)